No. 1
FeSO4: calculated powder diffraction line list (copper Kα), based on DFT lattice parameters and positions (PBE+U).

abc: 5.3013 8.1419 6.7333
angles: 90.00 90.00 90.00
Space group Cmcm (No. 63)
Inequivalent atoms, fractional coordinates:
1 Fe 0.0000 0.0000 0.0000
2 S 0.0000 0.3466 0.2500
3 O 0.0000 0.2470 0.0675
4 O 0.2317 0.4542 0.2500

The 10 most intense peaks (10 to 90 degrees two-theta), low angle first:
hkl  Position (°2θ)  d [Å]  I/Imax
1 1 0  20.0  4.443  36
0 2 0  21.8  4.071  19
1 1 1  24.0  3.708  69
0 2 1  25.6  3.484  39
1 1 2  33.4  2.683  100
2 0 0  33.8  2.651  31
1 3 0  37.2  2.416  41
2 0 2  43.5  2.083  21
2 2 2  49.1  1.854  26
2 4 2  64.0  1.456  25


No. 2
Li5Mn5Cr2O12: calculated powder diffraction line list (copper Kα), based on DFT lattice parameters and positions (PBE+U).

abc: 5.2759 8.9447 9.9066
angles: 90.00 98.08 90.00
Space group C2 (No. 5)
Inequivalent atoms, fractional coordinates:
1 Li 0.0000 0.0000 0.0000
2 Li 0.2355 0.8301 0.2391
3 Li 0.2478 0.0032 0.7572
4 Mn 0.0000 0.3374 0.0000
5 Mn 0.0000 0.4994 0.5000
6 Mn 0.0000 0.8363 0.5000
7 Mn 0.2420 0.1632 0.2428
8 Cr 0.0000 0.1678 0.5000
9 Cr 0.0000 0.6687 0.0000
10 O 0.1167 0.5035 0.8803
11 O 0.1250 0.0119 0.3745
12 O 0.1277 0.8205 0.8740
13 O 0.1366 0.3263 0.3814
14 O 0.1378 0.1778 0.8882
15 O 0.1469 0.6657 0.3831

The 10 most intense peaks (10 to 90 degrees two-theta), low angle first:
hkl  Position (°2θ)  d [Å]  I/Imax
0 0 2  18.1  4.904  38
0 2 0  19.9  4.472  22
1 1 -1  20.7  4.301  16
1 1 1  22.7  3.921  33
1 3 1  36.5  2.462  22
0 0 4  36.6  2.452  21
2 0 2  41.4  2.181  57
1 3 -3  43.0  2.102  100
3 3 -1  61.2  1.514  58
4 0 -4  77.9  1.226  14


No. 3
Li5Ti2V3O10: calculated powder diffraction line list (copper Kα), based on DFT lattice parameters and positions (PBE+U).

abc: 5.1470 5.1915 7.8336
angles: 71.37 72.05 81.01
Space group P-1 (No. 2)
Inequivalent atoms, fractional coordinates:
1 Li 0.0000 0.0000 0.0000
2 Li 0.4771 0.8978 0.7207
3 Li 0.4964 0.2809 0.9057
4 Ti 0.0191 0.3933 0.1927
5 V 0.0048 0.1963 0.5967
6 V 0.5000 0.5000 0.5000
7 O 0.2181 0.6379 0.9599
8 O 0.2355 0.0729 0.1588
9 O 0.2446 0.8306 0.5686
10 O 0.2470 0.2787 0.7426
11 O 0.2497 0.4576 0.3453

The 10 most intense peaks (10 to 90 degrees two-theta), low angle first:
hkl  Position (°2θ)  d [Å]  I/Imax
0 0 1  12.4  7.135  51
1 0 0  18.1  4.894  82
1 1 1  22.7  3.912  16
1 1 -2  42.5  2.127  100
2 1 3  43.5  2.082  48
0 3 -1  61.7  1.504  27
3 2 1  62.3  1.491  13
3 -1 2  62.4  1.489  13
1 3 4  62.5  1.487  13
1 0 5  62.6  1.484  13


No. 4
CoH4SeO5: calculated powder diffraction line list (copper Kα), based on DFT lattice parameters and positions (PBE+U).

abc: 5.9409 11.4051 10.0008
angles: 90.00 124.12 90.00
Space group P2_1/c (No. 14)
Inequivalent atoms, fractional coordinates:
1 Co 0.2287 0.0747 0.4058
2 H 0.1033 0.6085 0.4200
3 H 0.1243 0.2027 0.1369
4 H 0.2496 0.5730 0.6609
5 H 0.4730 0.0601 0.8230
6 Se 0.2740 0.6458 0.1470
7 O 0.0625 0.1901 0.4836
8 O 0.0833 0.1302 0.1755
9 O 0.1990 0.5223 0.2131
10 O 0.3492 0.6036 0.6172
11 O 0.3692 0.5838 0.0208

The 10 most intense peaks (10 to 90 degrees two-theta), low angle first:
hkl  Position (°2θ)  d [Å]  I/Imax
0 1 1  13.2  6.700  100
0 2 1  18.9  4.696  68
0 1 2  22.9  3.891  36
1 2 -2  24.4  3.643  13
2 1 -2  31.1  2.875  19
0 4 0  31.4  2.851  12
0 3 2  32.0  2.800  18
2 1 -1  32.6  2.747  12
2 0 0  36.5  2.459  11
1 5 0  43.7  2.069  11


No. 5
BaCrO4: calculated powder diffraction line list (copper Kα), based on DFT lattice parameters and positions (PBE+U).

abc: 6.5939 7.1984 8.0018
angles: 90.00 90.00 90.00
Space group P2_12_12_1 (No. 19)
Inequivalent atoms, fractional coordinates:
1 Ba 0.2120 0.0876 0.3632
2 Cr 0.2422 0.4167 0.8851
3 O 0.0411 0.5542 0.8467
4 O 0.0597 0.4464 0.4264
5 O 0.1898 0.2745 0.0423
6 O 0.1994 0.7099 0.2190

The 10 most intense peaks (10 to 90 degrees two-theta), low angle first:
hkl  Position (°2θ)  d [Å]  I/Imax
1 1 0  18.2  4.862  14
0 2 0  24.7  3.599  12
1 0 2  26.1  3.420  100
2 0 0  27.0  3.297  43
0 2 1  27.2  3.282  37
1 2 1  30.4  2.938  51
1 2 2  36.2  2.479  30
2 1 2  37.5  2.399  15
2 2 1  38.7  2.326  38
1 2 3  44.5  2.038  20


No. 6
CaLaMnCrO6: calculated powder diffraction line list (copper Kα), based on DFT lattice parameters and positions (PBE+U).

abc: 5.4552 5.4894 9.4416
angles: 90.00 125.19 90.00
Space group Pc (No. 7)
Inequivalent atoms, fractional coordinates:
1 Ca 0.0000 0.2086 0.0000
2 La 0.5156 0.2806 0.4999
3 Mn 0.7591 0.2500 0.2494
4 Cr 0.2601 0.2503 0.7505
5 O 0.0005 0.4572 0.2086
6 O 0.0743 0.2314 0.4946
7 O 0.4354 0.2643 0.0057
8 O 0.5197 0.0373 0.2875
9 O 0.5960 0.4678 0.7920
10 O 0.9325 0.0281 0.7118

The 10 most intense peaks (10 to 90 degrees two-theta), low angle first:
hkl  Position (°2θ)  d [Å]  I/Imax
1 0 0  19.9  4.468  28
0 2 0  32.6  2.745  19
1 1 1  32.8  2.731  100
1 0 2  38.7  2.328  17
2 2 -2  47.0  1.935  26
0 0 4  47.1  1.929  14
1 3 -3  58.3  1.582  13
2 0 2  58.5  1.577  22
3 1 -5  58.6  1.574  13
4 0 -4  68.8  1.365  10


No. 7
Li9Mn2Co5O16: calculated powder diffraction line list (copper Kα), based on DFT lattice parameters and positions (PBE+U).

abc: 6.4539 6.4549 7.8532
angles: 66.06 87.73 71.74
Space group P1 (No. 1)
Inequivalent atoms, fractional coordinates:
1 Li 0.0000 0.0000 0.0000
2 Li 0.0574 0.1231 0.3056
3 Li 0.1237 0.2466 0.6141
4 Li 0.2476 0.4993 0.2460
5 Li 0.3705 0.7545 0.8664
6 Li 0.4932 0.0040 0.4886
7 Li 0.6282 0.2444 0.1246
8 Li 0.7460 0.5006 0.7404
9 Li 0.8731 0.7649 0.3625
10 Mn 0.1891 0.3727 0.9325
11 Mn 0.8113 0.6223 0.0623
12 Co 0.3087 0.6314 0.5491
13 Co 0.4301 0.8773 0.1813
14 Co 0.5624 0.1283 0.8052
15 Co 0.6827 0.3756 0.4286
16 Co 0.9358 0.8830 0.6718
17 O 0.0472 0.5700 0.6625
18 O 0.0861 0.6664 0.9701
19 O 0.1734 0.8161 0.2695
20 O 0.2123 0.9166 0.5949
21 O 0.2838 0.0879 0.8876
22 O 0.3313 0.1915 0.1829
23 O 0.4131 0.3283 0.5251
24 O 0.4591 0.4226 0.8377
25 O 0.5372 0.5818 0.1413
26 O 0.5838 0.6715 0.4641
27 O 0.6758 0.8180 0.7934
28 O 0.7049 0.9232 0.0885
29 O 0.7720 0.0766 0.4095
30 O 0.8343 0.1700 0.7161
31 O 0.9093 0.3389 0.0123
32 O 0.9366 0.4536 0.3177

The 10 most intense peaks (10 to 90 degrees two-theta), low angle first:
hkl  Position (°2θ)  d [Å]  I/Imax
1 1 1  18.5  4.805  100
0 1 -2  35.0  2.563  17
-1 2 1  36.8  2.445  24
2 2 2  37.5  2.401  8
1 0 3  42.1  2.145  31
0 3 2  44.6  2.030  26
3 1 -1  44.7  2.027  26
3 0 1  47.8  1.905  9
1 -3 1  63.0  1.474  23
-3 2 3  65.7  1.421  9